For Nd2Te2W2O13, a DFT-relaxed cell (PBE+U, Alexandria) gives the theoretical powder XRD pattern in this record (Cu Kα (λ = 1.5418 Å)).
Intensities are scaled so that the largest is 100.

Largest 10 diffraction maxima, by angle, 5° ≤ 2θ ≤ 70°:
2θ = 26.4°, rel. 85, hkl 0 1 3; 2θ = 26.8°, rel. 29, hkl 2 0 0; 2θ = 28.1°, rel. 100, hkl 1 1 -3; 2θ = 29.0°, rel. 37, hkl 2 0 1; 2θ = 29.6°, rel. 19, hkl 1 -2 1; 2θ = 29.7°, rel. 46, hkl 1 2 0; 2θ = 30.5°, rel. 38, hkl 1 -1 3; 2θ = 31.1°, rel. 15, hkl -2 1 2; 2θ = 45.0°, rel. 17, hkl 0 3 -3; 2θ = 46.6°, rel. 15, hkl 1 0 -6

Atomic structure:
Cell: 6.7248 6.9894 11.8164 Å, 90.61 98.22 93.48°
Fractional coordinates of all 38 atoms:
1 Nd 0.1310 0.3743 0.3666
2 Nd 0.2691 0.8710 0.8825
3 Nd 0.7309 0.1290 0.1175
4 Nd 0.8690 0.6257 0.6334
5 Te 0.2547 0.3902 0.0521
6 Te 0.3314 0.8194 0.5606
7 Te 0.6686 0.1806 0.4394
8 Te 0.7453 0.6098 0.9479
9 W 0.2538 0.8846 0.1865
10 W 0.3904 0.3729 0.7010
11 W 0.6096 0.6271 0.2990
12 W 0.7462 0.1154 0.8135
13 O 0.0137 0.0991 0.8569
14 O 0.0753 0.3262 0.1566
15 O 0.1200 0.6539 0.4881
16 O 0.1493 0.4516 0.7210
17 O 0.1790 0.8499 0.6818
18 O 0.2344 0.6717 0.0488
19 O 0.2924 0.0517 0.3087
20 O 0.2965 0.6561 0.2805
21 O 0.3242 0.2465 0.5637
22 O 0.3458 0.0514 0.0701
23 O 0.4239 0.1634 0.8018
24 O 0.4865 0.5832 0.8524
25 O 0.4919 0.6094 0.6228
26 O 0.5081 0.3906 0.3772
27 O 0.5135 0.4168 0.1476
28 O 0.5761 0.8366 0.1982
29 O 0.6542 0.9486 0.9299
30 O 0.6758 0.7535 0.4363
31 O 0.7035 0.3439 0.7195
32 O 0.7076 0.9483 0.6913
33 O 0.7656 0.3283 0.9512
34 O 0.8210 0.1501 0.3182
35 O 0.8507 0.5484 0.2790
36 O 0.8800 0.3461 0.5119
37 O 0.9247 0.6738 0.8434
38 O 0.9863 0.9009 0.1431